Calculated X-ray diffraction stick pattern of Na4MgNbSi2PO12 for a wavelength of 1.5418 Å, from a cell relaxed with GGA-PBE.
No peak broadening, texture or thermal motion is included.

a b c (Å): 15.697 9.153 9.073
angles (deg): 90.00 125.03 90.00
Space group Cc (No. 9)
Asymmetric unit:
Na: 0.000 0.046 0.000
Na: 0.174 0.380 0.841
Na: 0.359 0.082 0.730
Na: 0.431 0.257 0.103
Mg: 0.073 0.245 0.465
Nb: 0.278 0.250 0.263
Si: 0.170 0.046 0.865
Si: 0.318 0.396 0.661
P: 0.026 0.394 0.073
O: 0.018 0.443 0.533
O: 0.022 0.367 0.235
O: 0.098 0.055 0.394
O: 0.098 0.158 0.701
O: 0.128 0.322 0.106
O: 0.214 0.333 0.628
O: 0.246 0.069 0.336
O: 0.260 0.142 0.049
O: 0.314 0.364 0.472
O: 0.322 0.420 0.173
O: 0.418 0.324 0.839
O: 0.436 0.188 0.398

Principal peaks in the range 2θ from 15° to 90°, low angle first:
hkl 0 2 0, 19.44°, I = 25; hkl 2 0 -2, 19.55°, I = 52; hkl 2 2 -1, 22.89°, I = 27; hkl 4 0 0, 27.72°, I = 25; hkl 2 2 1, 30.15°, I = 15; hkl 5 1 -1, 31.12°, I = 100; hkl 1 3 1, 33.98°, I = 35; hkl 2 0 2, 34.11°, I = 20; hkl 7 1 -1, 44.56°, I = 19; hkl 2 2 -4, 46.82°, I = 24